# Li4Mn3Nb2V3O16
Simulated powder diffraction line list, Cu Ka. Input: the GGA+U geometry in the Materials Project.
Lines closer than 0.1° are merged.

Peak list (12 most intense, 2θ = 15–90°, low angle first)
(hkl)  two_theta  I/Imax
0 0 2  18.16  30
0 1 1  18.95  30
1 0 -1  19.41  100
1 1 -1  19.64  65
0 1 -2  25.31  25
1 1 3  32.33  27
1 0 3  32.77  38
1 2 2  34.61  31
1 -1 2  35.42  35
2 1 2  35.61  41
2 2 -3  45.27  22
2 4 0  61.64  37

Structure:
abc: 5.890 6.020 9.777
angles: 88.51 89.95 60.76
Space group P1 (No. 1)
Symmetry-distinct sites (fractional):
1 Li 0.000 0.000 0.000 x1
2 Li 0.001 0.996 0.498 x1
3 Li 0.326 0.342 0.409 x1
4 Li 0.654 0.688 0.908 x1
5 Mn 0.167 0.174 0.723 x1
6 Mn 0.657 0.173 0.723 x1
7 Mn 0.830 0.335 0.220 x1
8 Nb 0.323 0.352 0.002 x1
9 Nb 0.667 0.664 0.504 x1
10 V 0.168 0.661 0.729 x1
11 V 0.348 0.829 0.227 x1
12 V 0.818 0.829 0.226 x1
13 O 0.004 0.987 0.309 x1
14 O 0.005 0.988 0.810 x1
15 O 0.026 0.504 0.856 x1
16 O 0.163 0.669 0.110 x1
17 O 0.170 0.164 0.100 x1
18 O 0.320 0.356 0.622 x1
19 O 0.340 0.814 0.600 x1
20 O 0.467 0.504 0.856 x1
21 O 0.471 0.053 0.849 x1
22 O 0.511 0.528 0.348 x1
23 O 0.514 0.969 0.353 x1
24 O 0.656 0.684 0.114 x1
25 O 0.663 0.164 0.099 x1
26 O 0.837 0.324 0.598 x1
27 O 0.843 0.815 0.599 x1
28 O 0.956 0.528 0.347 x1